Entry 1:
CsNdAs2Pt4: calculated PXRD pattern (λ = 1.5418 Å (Cu Kα)), based on DFT lattice parameters and positions (PBE).
Intensities are scaled so that the largest is 100.

Principal peaks in the range 2θ = 10–80°, low angle first:
hkl 0 0 2, 14.88°, I 53; hkl 0 0 3, 22.40°, I 43; hkl 1 0 2, 26.46°, I 58; hkl 1 1 2, 34.51°, I 90; hkl 1 1 3, 38.55°, I 100; hkl 2 0 0, 44.36°, I 66; hkl 1 1 5, 49.61°, I 48; hkl 3 1 3, 77.75°, I 26

Crystal structure
```
CsNdAs2Pt4
1.0
4.0846 0.0000 0.0000
0.0000 4.0846 0.0000
0.0000 0.0000 11.9090
Cs Nd As Pt
1 1 2 4
direct
0.0000 0.0000 0.0000
0.0000 0.0000 0.5000
0.5000 0.5000 0.1960
0.5000 0.5000 0.8040
0.0000 0.5000 0.3122
0.0000 0.5000 0.6878
0.5000 0.0000 0.3122
0.5000 0.0000 0.6878
```

***

Entry 2:
Ca3Tl2Zn: calculated PXRD pattern (λ = 1.5418 Å (Cu Kα)), based on DFT lattice parameters and positions (PBE).
Intensities are scaled so that the largest is 100.

Principal peaks in the range 2θ = 10–80°, low angle first:
hkl 0 0 3, 23.08°, I 20; hkl 1 0 0, 23.33°, I 39; hkl 1 0 3, 33.05°, I 100; hkl 1 1 0, 33.24°, I 50; hkl 1 1 3, 40.85°, I 19; hkl 2 0 0, 47.71°, I 18; hkl 1 1 6, 58.92°, I 18; hkl 2 1 3, 59.27°, I 37

Crystal structure
```
Ca3Tl2Zn
1.0
3.8122 0.0000 0.0000
0.0000 3.8122 0.0000
0.0000 0.0000 11.5610
Ca Tl Zn
3 2 1
direct
0.0000 0.0000 0.0000
0.0000 0.0000 0.3449
0.0000 0.0000 0.6551
0.5000 0.5000 0.1727
0.5000 0.5000 0.8273
0.5000 0.5000 0.5000
```

***

Entry 3:
Be2Nb2Ru: calculated PXRD pattern (λ = 1.5418 Å (Cu Kα)), based on DFT lattice parameters and positions (PBE).
Intensities are scaled so that the largest is 100.

Principal peaks in the range 2θ = 10–80°, low angle first:
hkl 2 1 0, 31.77°, I 66; hkl 1 1 1, 33.65°, I 63; hkl 2 0 1, 39.42°, I 100; hkl 2 2 0, 40.52°, I 28; hkl 2 1 1, 42.05°, I 76; hkl 3 1 0, 45.55°, I 54; hkl 3 3 1, 69.34°, I 32; hkl 3 1 2, 74.35°, I 24

Crystal structure
```
Be2Nb2Ru
1.0
6.2973 0.0000 0.0000
0.0000 6.2973 0.0000
0.0000 0.0000 3.3236
Be Nb Ru
4 4 2
direct
0.1217 0.3783 0.0000
0.3783 0.8783 0.0000
0.6217 0.1217 0.0000
0.8783 0.6217 0.0000
0.1747 0.6747 0.5000
0.3253 0.1747 0.5000
0.6747 0.8253 0.5000
0.8253 0.3253 0.5000
0.0000 0.0000 0.0000
0.5000 0.5000 0.0000
```

***

Entry 4:
NdInAu3: calculated PXRD pattern (λ = 1.5418 Å (Cu Kα)), based on DFT lattice parameters and positions (PBE).
Intensities are scaled so that the largest is 100.

Principal peaks in the range 2θ = 10–80°, low angle first:
hkl 1 2 0, 30.26°, I 47; hkl 0 0 2, 30.61°, I 41; hkl 2 0 -1, 32.85°, I 46; hkl 2 1 -1, 35.32°, I 46; hkl 1 2 1, 35.67°, I 100; hkl 1 0 2, 38.01°, I 56; hkl 1 2 -2, 40.75°, I 71; hkl 2 2 0, 41.84°, I 40

Crystal structure
```
NdInAu3
1.0
5.6243 0.0000 0.0000
0.0000 7.0131 0.0000
-1.3386 0.0000 5.8411
Nd In Au
2 2 6
direct
0.1621 0.2500 0.2562
0.8379 0.7500 0.7438
0.4183 0.7500 0.1051
0.5817 0.2500 0.8949
0.0066 0.2500 0.7386
0.3208 0.5498 0.6459
0.3208 0.9502 0.6459
0.6792 0.0498 0.3541
0.6792 0.4502 0.3541
0.9934 0.7500 0.2614
```